Diffraction record for Rb3Zn6Au5. The X-ray diffraction stick pattern is computed, not measured: it uses a cell relaxed with GGA-PBE and CuKα.

Structure:
```
Rb3Zn6Au5
1.0
4.5221 0.0000 0.0000
0.0000 13.7547 0.0000
0.0000 0.0000 12.5427
Rb Zn Au
6 12 10
direct
0.2500 0.0857 0.2474
0.2500 0.4143 0.2474
0.2500 0.7500 0.2513
0.7500 0.2500 0.7487
0.7500 0.5857 0.7526
0.7500 0.9143 0.7526
0.2500 0.0483 0.5205
0.2500 0.2500 0.4938
0.2500 0.2500 0.9951
0.2500 0.4517 0.5205
0.2500 0.5815 0.0018
0.2500 0.9185 0.0018
0.7500 0.0815 0.9982
0.7500 0.4185 0.9982
0.7500 0.5483 0.4795
0.7500 0.7500 0.0049
0.7500 0.7500 0.5062
0.7500 0.9517 0.4795
0.2500 0.0826 0.8968
0.2500 0.4174 0.8968
0.2500 0.6448 0.5101
0.2500 0.7500 0.9060
0.2500 0.8552 0.5101
0.7500 0.1448 0.4899
0.7500 0.2500 0.0940
0.7500 0.3552 0.4899
0.7500 0.5826 0.1032
0.7500 0.9174 0.1032
```

Peak list (10 most intense, 2θ from 15° to 90°, by intensity)
2θ (°), Rel. int.
29.09, 100
28.90, 81
39.87, 68
24.04, 52
52.17, 51
24.27, 40
49.65, 39
21.25, 38
38.99, 38
39.98, 36